For Sc3PdPt5, a crystal structure in Alexandria, relaxed with GGA-PBE gives the calculated powder XRD pattern in this record (CuKα).

Top 12 peaks for 10° ≤ 2θ ≤ 80°, by intensity:
hkl 3 0 0, 2θ = 39.23°, 2.296 Å, rel. 100; hkl 1 1 2, 2θ = 39.47°, 2.283 Å, rel. 99; hkl 1 1 1, 2θ = 27.54°, 3.238 Å, rel. 51; hkl 4 1 2, 2θ = 71.26°, 1.323 Å, rel. 34; hkl 2 2 2, 2θ = 56.87°, 1.619 Å, rel. 34; hkl 3 3 0, 2θ = 71.11°, 1.326 Å, rel. 17; hkl 2 2 1, 2θ = 48.61°, 1.873 Å, rel. 11; hkl 4 1 1, 2θ = 64.16°, 1.452 Å, rel. 10; hkl 1 1 3, 2θ = 54.48°, 1.684 Å, rel. 8; hkl 0 0 4, 2θ = 67.14°, 1.394 Å, rel. 7; hkl 1 1 0, 2θ = 22.35°, 3.977 Å, rel. 6; hkl 1 0 0, 2θ = 12.85°, 6.889 Å, rel. 4

Atomic structure:
```
data_Sc3PdPt5
_symmetry_space_group_name_H-M 'P 63/m c m'
_symmetry_Int_Tables_number 193
_symmetry_space_group_name_Hall '-P 6c 2'
_cell_length_a 7.9549
_cell_length_b 7.9549
_cell_length_c 5.5771
_cell_angle_alpha 90.00
_cell_angle_beta 90.00
_cell_angle_gamma 120.00
loop_
_atom_site_label
_atom_site_type_symbol
_atom_site_fract_x
_atom_site_fract_y
_atom_site_fract_z
Sc1 Sc 0.0000 0.3428 0.2500
Pd1 Pd 0.0000 0.0000 0.0000
Pt1 Pt 0.0000 0.3238 0.7500
Pt2 Pt 0.3333 0.6667 0.0000
```